# 1
TbPr2Zn9: simulated powder XRD pattern (a wavelength of 1.5418 Å), based on a structure optimized by DFT (PBE).
Intensities are scaled so that the largest is 100.

Peak list (10 most intense, 2θ = 10–90°, low angle first)
2θ (°), I/Imax
30.25, 37.8
32.51, 46.6
33.05, 36.6
37.87, 38.0
38.58, 100.0
41.11, 14.1
41.56, 15.1
62.07, 23.9
62.90, 15.1
68.08, 23.3

Crystal structure
```
TbPr2Zn9
1.0
2.755 1.590 8.782
-2.755 1.590 8.782
0.000 -3.181 8.782
Tb Pr Zn
1 2 9
direct
0.000 0.000 0.000
0.141 0.141 0.141
0.859 0.859 0.859
0.077 0.582 0.582
0.335 0.335 0.335
0.418 0.418 0.923
0.418 0.923 0.418
0.500 0.500 0.500
0.582 0.077 0.582
0.582 0.582 0.077
0.665 0.665 0.665
0.923 0.418 0.418
```

# 2
TlCrNi2: simulated powder XRD pattern (a wavelength of 1.5418 Å), based on a structure optimized by DFT (PBE).
Intensities are scaled so that the largest is 100.

Peak list (10 most intense, 2θ = 10–90°, low angle first)
2θ (°), I/Imax
22.23, 16.1
25.87, 38.6
33.20, 12.1
40.32, 100.0
41.31, 11.7
45.36, 17.7
47.66, 30.6
67.90, 20.4
80.34, 12.6
83.71, 22.8

Crystal structure
```
TlCrNi2
1.0
-1.908 1.908 3.999
1.908 -1.908 3.999
1.908 1.908 -3.999
Tl Cr Ni
1 1 2
direct
0.000 0.000 0.000
0.250 0.750 0.500
0.500 0.500 0.000
0.750 0.250 0.500
```

# 3
Cd2Pt3O8: simulated powder XRD pattern (a wavelength of 1.5418 Å), based on a structure optimized by DFT (PBE).
Intensities are scaled so that the largest is 100.

Peak list (10 most intense, 2θ = 10–90°, low angle first)
2θ (°), I/Imax
17.14, 77.1
25.72, 39.3
29.54, 30.5
30.23, 41.2
33.36, 100.0
34.17, 29.9
34.93, 28.6
35.25, 52.0
44.82, 32.1
52.75, 36.0

Crystal structure
```
Cd2Pt3O8
1.0
5.405 -3.148 0.000
5.405 3.148 0.000
-1.559 0.000 5.138
Cd Pt O
2 3 8
direct
0.209 0.209 0.130
0.791 0.791 0.870
0.249 0.751 0.500
0.500 0.500 0.000
0.751 0.249 0.500
0.104 0.104 0.430
0.170 0.608 0.121
0.392 0.830 0.879
0.403 0.403 0.607
0.597 0.597 0.393
0.608 0.170 0.121
0.830 0.392 0.879
0.896 0.896 0.570
```

# 4
Tm8SiPb2: simulated powder XRD pattern (a wavelength of 1.5418 Å), based on a structure optimized by DFT (PBE).
Intensities are scaled so that the largest is 100.

Peak list (10 most intense, 2θ = 10–90°, low angle first)
2θ (°), I/Imax
28.60, 38.3
29.90, 100.0
32.58, 98.1
33.44, 38.5
34.53, 22.5
36.50, 66.0
37.76, 47.2
51.28, 26.9
59.72, 23.3
64.51, 29.7

Crystal structure
```
Tm8SiPb2
1.0
9.684 -2.462 0.000
9.684 2.462 0.000
-1.592 0.000 6.446
Tm Si Pb
8 1 2
direct
0.022 0.022 0.276
0.219 0.219 0.828
0.352 0.352 0.491
0.412 0.412 0.037
0.588 0.588 0.963
0.648 0.648 0.509
0.781 0.781 0.172
0.978 0.978 0.724
0.500 0.500 0.500
0.182 0.182 0.267
0.818 0.818 0.733
```

# 5
Sm2ErTmTh: simulated powder XRD pattern (a wavelength of 1.5418 Å), based on a structure optimized by DFT (PBE).
Intensities are scaled so that the largest is 100.

Peak list (10 most intense, 2θ = 10–90°, low angle first)
2θ (°), I/Imax
21.49, 26.5
28.15, 34.8
29.29, 100.0
29.81, 64.5
31.46, 27.7
32.48, 21.1
33.06, 34.0
33.32, 56.4
35.37, 27.3
56.39, 21.9

Crystal structure
```
Sm2ErTmTh
1.0
8.270 0.000 0.000
0.000 6.430 0.000
-0.017 0.000 6.341
Sm Er Tm Th
4 2 2 2
direct
0.194 0.215 0.251
0.194 0.785 0.751
0.806 0.215 0.249
0.806 0.785 0.749
0.000 0.310 0.750
0.000 0.690 0.250
0.500 0.500 0.000
0.500 0.500 0.500
0.500 0.063 0.750
0.500 0.937 0.250
```

# 6
Nd7Er4Pu: simulated powder XRD pattern (a wavelength of 1.5418 Å), based on a structure optimized by DFT (PBE).
Intensities are scaled so that the largest is 100.

Peak list (10 most intense, 2θ = 10–90°, low angle first)
2θ (°), I/Imax
28.57, 29.1
30.82, 56.8
31.54, 77.6
31.75, 37.8
33.29, 100.0
39.83, 18.7
50.40, 29.0
54.12, 17.2
57.46, 20.8
60.02, 17.1

Crystal structure
```
Nd7Er4Pu
1.0
6.262 0.000 0.000
0.000 7.277 0.000
-2.052 0.000 8.704
Nd Er Pu
7 4 1
direct
0.000 0.000 0.000
0.219 0.500 0.666
0.225 0.000 0.661
0.500 0.254 0.000
0.500 0.746 0.000
0.775 0.000 0.339
0.781 0.500 0.334
0.276 0.253 0.330
0.276 0.747 0.330
0.724 0.253 0.670
0.724 0.747 0.670
0.000 0.500 0.000
```

# 7
Th5SiAs4: simulated powder XRD pattern (a wavelength of 1.5418 Å), based on a structure optimized by DFT (PBE).
Intensities are scaled so that the largest is 100.

Peak list (10 most intense, 2θ = 10–90°, low angle first)
2θ (°), I/Imax
25.62, 53.9
29.67, 100.0
42.46, 76.5
50.25, 27.7
52.66, 27.4
61.61, 12.9
67.85, 11.6
69.86, 35.6
77.69, 26.6
83.41, 9.2

Crystal structure
```
Th5SiAs4
1.0
-4.762 4.762 3.009
4.762 -4.762 3.009
4.762 4.762 -3.009
Th Si As
5 1 4
direct
0.000 0.000 0.000
0.204 0.599 0.803
0.401 0.204 0.605
0.599 0.796 0.395
0.796 0.401 0.197
0.500 0.500 0.000
0.099 0.301 0.400
0.301 0.901 0.202
0.699 0.099 0.798
0.901 0.699 0.600
```

# 8
SrGaN2: simulated powder XRD pattern (a wavelength of 1.5418 Å), based on a structure optimized by DFT (PBE).
Intensities are scaled so that the largest is 100.

Peak list (10 most intense, 2θ = 10–90°, low angle first)
2θ (°), I/Imax
28.31, 79.1
31.55, 68.3
32.07, 85.9
32.49, 100.0
42.89, 48.7
49.53, 20.0
56.51, 18.0
56.78, 27.3
59.92, 22.5
61.00, 25.7

Crystal structure
```
SrGaN2
1.0
6.411 0.000 0.000
0.000 7.242 0.000
0.000 0.000 5.672
Sr Ga N
4 4 8
direct
0.140 0.106 0.000
0.360 0.606 0.500
0.640 0.394 0.000
0.860 0.894 0.500
0.080 0.629 0.007
0.420 0.129 0.507
0.580 0.871 0.007
0.920 0.371 0.507
0.001 0.408 0.832
0.121 0.166 0.460
0.379 0.666 0.960
0.499 0.908 0.332
0.501 0.092 0.832
0.621 0.334 0.460
0.879 0.834 0.960
0.999 0.592 0.332
```

# 9
PmSm6In6: simulated powder XRD pattern (a wavelength of 1.5418 Å), based on a structure optimized by DFT (PBE).
Intensities are scaled so that the largest is 100.

Peak list (10 most intense, 2θ = 10–90°, low angle first)
2θ (°), I/Imax
28.13, 35.9
29.27, 21.4
32.58, 100.0
36.55, 70.9
37.48, 11.1
52.66, 16.1
55.43, 9.8
58.12, 44.6
68.24, 18.9
73.00, 11.7

Crystal structure
```
PmSm6In6
1.0
6.344 0.000 0.000
-3.172 5.494 0.000
0.000 0.000 11.006
Pm Sm In
1 6 6
direct
0.000 0.000 0.000
0.000 0.000 0.336
0.000 0.000 0.664
0.333 0.667 0.000
0.333 0.667 0.500
0.667 0.333 0.000
0.667 0.333 0.500
0.000 0.500 0.246
0.000 0.500 0.754
0.500 0.000 0.246
0.500 0.000 0.754
0.500 0.500 0.246
0.500 0.500 0.754
```

# 10
Cs3Sn2Br4Cl3: simulated powder XRD pattern (a wavelength of 1.5418 Å), based on a structure optimized by DFT (PBE).
Intensities are scaled so that the largest is 100.

Peak list (10 most intense, 2θ = 10–90°, low angle first)
2θ (°), I/Imax
21.30, 15.2
21.81, 100.0
26.43, 14.9
28.45, 40.1
30.29, 72.0
31.76, 40.0
37.64, 32.8
43.38, 19.9
44.46, 48.8
54.74, 25.1

Crystal structure
```
Cs3Sn2Br4Cl3
1.0
-2.817 14.734 2.953
2.817 -14.734 2.953
2.817 14.734 -2.953
Cs Sn Br Cl
3 2 4 3
direct
0.000 0.000 0.000
0.113 0.933 0.180
0.753 0.933 0.820
0.340 0.937 0.403
0.535 0.937 0.597
0.031 0.437 0.593
0.242 0.938 0.303
0.635 0.938 0.697
0.844 0.437 0.407
0.332 0.429 0.903
0.425 0.925 0.500
0.526 0.429 0.097
```

# 11
Ac2LaZn5: simulated powder XRD pattern (a wavelength of 1.5418 Å), based on a structure optimized by DFT (PBE).
Intensities are scaled so that the largest is 100.

Peak list (10 most intense, 2θ = 10–90°, low angle first)
2θ (°), I/Imax
24.15, 21.9
24.71, 18.3
26.97, 20.3
34.15, 100.0
34.41, 60.5
45.89, 11.3
49.46, 21.7
58.60, 11.1
61.47, 36.2
82.82, 10.6

Crystal structure
```
Ac2LaZn5
1.0
-2.606 2.606 7.480
2.606 -2.606 7.480
2.606 2.606 -7.480
Ac La Zn
2 1 5
direct
0.228 0.228 0.000
0.772 0.772 0.000
0.500 0.500 0.000
0.000 0.000 0.000
0.106 0.606 0.500
0.394 0.894 0.500
0.606 0.106 0.500
0.894 0.394 0.500
```

# 12
CsCeBr5: simulated powder XRD pattern (a wavelength of 1.5418 Å), based on a structure optimized by DFT (PBE).
Intensities are scaled so that the largest is 100.

Peak list (10 most intense, 2θ = 10–90°, low angle first)
2θ (°), I/Imax
12.39, 37.4
14.54, 86.9
18.29, 100.0
24.32, 34.3
24.94, 83.4
28.41, 45.3
30.77, 95.5
35.84, 60.8
37.13, 41.4
40.36, 35.4

Crystal structure
```
CsCeBr5
1.0
6.673 -4.407 0.000
6.673 4.407 0.000
-4.748 0.000 10.614
Cs Ce Br
2 2 10
direct
0.021 0.979 0.750
0.979 0.021 0.250
0.500 0.500 0.000
0.500 0.500 0.500
0.116 0.670 0.969
0.155 0.455 0.390
0.330 0.884 0.531
0.455 0.155 0.890
0.458 0.542 0.750
0.542 0.458 0.250
0.545 0.845 0.110
0.670 0.116 0.469
0.845 0.545 0.610
0.884 0.330 0.031
```

# 13
Np2PaSe4: simulated powder XRD pattern (a wavelength of 1.5418 Å), based on a structure optimized by DFT (PBE).
Intensities are scaled so that the largest is 100.

Peak list (10 most intense, 2θ = 10–90°, low angle first)
2θ (°), I/Imax
23.62, 100.0
24.05, 20.7
30.56, 56.0
32.67, 76.6
40.61, 51.3
42.48, 25.0
44.97, 45.9
45.19, 43.2
51.64, 25.7
65.66, 22.0

Crystal structure
```
Np2PaSe4
1.0
2.005 -6.754 0.000
2.005 6.754 0.000
0.000 0.000 13.611
Np Pa Se
4 2 8
direct
0.135 0.865 0.565
0.135 0.865 0.935
0.865 0.135 0.065
0.865 0.135 0.435
0.379 0.621 0.750
0.621 0.379 0.250
0.033 0.967 0.750
0.225 0.775 0.128
0.225 0.775 0.372
0.500 0.500 0.000
0.500 0.500 0.500
0.775 0.225 0.628
0.775 0.225 0.872
0.967 0.033 0.250
```